# 1
Calculated powder diffraction line list
Compound: La2CO5
Radiation: copper Kα
Structure: the PBE geometry in the Materials Project
Lines closer than 0.1° are merged.

Lattice parameters (Å, degrees): 7.0968 7.0968 16.5343 102.32 102.32 60.13
Element x y z (fractional)
La1 0.0366 0.8589 0.5941
La2 0.1411 0.9634 0.9059
La3 0.2010 0.3657 0.0944
La4 0.3048 0.4688 0.4036
La5 0.3657 0.2010 0.5944
La6 0.4688 0.3048 0.9036
La7 0.5312 0.6952 0.0964
La8 0.6343 0.7990 0.4056
La9 0.6952 0.5312 0.5964
La10 0.7990 0.6343 0.9056
La11 0.8589 0.0366 0.0941
La12 0.9634 0.1411 0.4059
C1 0.0303 0.5848 0.7503
C2 0.1906 0.8094 0.2500
C3 0.4152 0.9697 0.7497
C4 0.5848 0.0303 0.2503
C5 0.8094 0.1906 0.7500
C6 0.9697 0.4152 0.2497
O1 0.0091 0.9909 0.2500
O2 0.0212 0.1845 0.5585
O3 0.0951 0.5581 0.6790
O4 0.1438 0.6056 0.8213
O5 0.1463 0.3134 0.9415
O6 0.1543 0.4091 0.2492
O7 0.1845 0.0212 0.0585
O8 0.2545 0.6977 0.1789
O9 0.3023 0.7455 0.3211
O10 0.3134 0.1463 0.4415
O11 0.3504 0.5160 0.5525
O12 0.3944 0.8562 0.6787
O13 0.4091 0.1543 0.7492
O14 0.4419 0.9049 0.8210
O15 0.4840 0.6496 0.9475
O16 0.5160 0.3504 0.0525
O17 0.5581 0.0951 0.1790
O18 0.5909 0.8457 0.2508
O19 0.6056 0.1438 0.3213
O20 0.6496 0.4840 0.4475
O21 0.6866 0.8537 0.5585
O22 0.6977 0.2545 0.6789
O23 0.7455 0.3023 0.8211
O24 0.8155 0.9788 0.9415
O25 0.8457 0.5909 0.7508
O26 0.8537 0.6866 0.0585
O27 0.8562 0.3944 0.1787
O28 0.9049 0.4419 0.3210
O29 0.9788 0.8155 0.4415
O30 0.9909 0.0091 0.7500

Main lines, by intensity (2θ = 10–90°):
2θ = 30.2°, intensity 100.0
2θ = 25.7°, intensity 71.3
2θ = 47.2°, intensity 40.1
2θ = 44.2°, intensity 36.2
2θ = 25.1°, intensity 28.2
2θ = 22.2°, intensity 28.0
2θ = 27.5°, intensity 27.9
2θ = 42.3°, intensity 25.2
2θ = 11.0°, intensity 24.8
2θ = 56.6°, intensity 24.4



# 2
Calculated powder diffraction line list
Compound: LaCO4
Radiation: copper Kα
Structure: the PBE geometry in the Materials Project
Lines closer than 0.1° are merged.

Lattice parameters (Å, degrees): 7.4903 5.0818 8.3571 90.00 90.00 90.00
Element x y z (fractional)
La1 0.1536 0.2500 0.1686
La2 0.3464 0.7500 0.6686
La3 0.6536 0.2500 0.3314
La4 0.8464 0.7500 0.8314
C1 0.1892 0.2500 0.8087
C2 0.3108 0.7500 0.3087
C3 0.6892 0.2500 0.6913
C4 0.8108 0.7500 0.1913
O1 0.0297 0.7500 0.5918
O2 0.1453 0.0287 0.8766
O3 0.1453 0.4713 0.8766
O4 0.2157 0.7500 0.1811
O5 0.2843 0.2500 0.6811
O6 0.3547 0.5287 0.3766
O7 0.3547 0.9713 0.3766
O8 0.4703 0.2500 0.0918
O9 0.5297 0.7500 0.9082
O10 0.6453 0.0287 0.6234
O11 0.6453 0.4713 0.6234
O12 0.7157 0.7500 0.3189
O13 0.7843 0.2500 0.8189
O14 0.8547 0.5287 0.1234
O15 0.8547 0.9713 0.1234
O16 0.9703 0.2500 0.4082

Main lines, by intensity (2θ = 10–90°):
2θ = 20.5°, intensity 100.0
2θ = 29.6°, intensity 71.1
2θ = 23.7°, intensity 67.9
2θ = 43.4°, intensity 57.7
2θ = 38.8°, intensity 49.8
2θ = 44.4°, intensity 46.4
2θ = 24.4°, intensity 41.2
2θ = 26.1°, intensity 41.2
2θ = 21.3°, intensity 35.1
2θ = 15.9°, intensity 35.1



# 3
Calculated powder diffraction line list
Compound: La9Sb5CO4
Radiation: copper Kα
Structure: the PBE geometry in the Materials Project
Lines closer than 0.1° are merged.

Lattice parameters (Å, degrees): 10.5849 10.5849 9.4448 90.00 90.00 90.00
Element x y z (fractional)
La1 0.0238 0.1706 0.0016
La2 0.0466 0.6462 0.6591
La3 0.1462 0.9534 0.3409
La4 0.1706 0.4762 0.0016
La5 0.2500 0.2500 0.6774
La6 0.3294 0.0238 0.0016
La7 0.3538 0.5466 0.3409
La8 0.4534 0.8538 0.6591
La9 0.4762 0.3294 0.0016
La10 0.5238 0.6706 0.9984
La11 0.5466 0.1462 0.3409
La12 0.6462 0.4534 0.6591
La13 0.6706 0.9762 0.9984
La14 0.7500 0.7500 0.3226
La15 0.8294 0.5238 0.9984
La16 0.8538 0.0466 0.6591
La17 0.9534 0.3538 0.3409
La18 0.9762 0.8294 0.9984
Sb1 0.0545 0.6521 0.3018
Sb2 0.1521 0.9455 0.6982
Sb3 0.2500 0.2500 0.3078
Sb4 0.3479 0.5545 0.6982
Sb5 0.4455 0.8479 0.3018
Sb6 0.5545 0.1521 0.6982
Sb7 0.6521 0.4455 0.3018
Sb8 0.7500 0.7500 0.6922
Sb9 0.8479 0.0545 0.3018
Sb10 0.9455 0.3479 0.6982
C1 0.2500 0.2500 0.9267
C2 0.7500 0.7500 0.0733
O1 0.0259 0.6291 0.9032
O2 0.1291 0.9741 0.0968
O3 0.3709 0.5259 0.0968
O4 0.4741 0.8709 0.9032
O5 0.5259 0.1291 0.0968
O6 0.6291 0.4741 0.9032
O7 0.8709 0.0259 0.9032
O8 0.9741 0.3709 0.0968

Main lines, by intensity (2θ = 10–90°):
2θ = 28.3°, intensity 100.0
2θ = 32.8°, intensity 61.9
2θ = 38.0°, intensity 41.0
2θ = 48.1°, intensity 33.9
2θ = 26.6°, intensity 29.3
2θ = 62.9°, intensity 22.0
2θ = 55.9°, intensity 16.6
2θ = 39.3°, intensity 13.1
2θ = 54.9°, intensity 12.2
2θ = 65.4°, intensity 11.5



# 4
Calculated powder diffraction line list
Compound: La14Sb8CO7
Radiation: copper Kα
Structure: the PBE geometry in the Materials Project
Lines closer than 0.1° are merged.

Lattice parameters (Å, degrees): 13.2748 13.2748 9.3841 90.00 90.00 90.00
Element x y z (fractional)
La1 0.0000 0.0000 0.0000
La2 0.0000 0.5000 0.9738
La3 0.0099 0.2508 0.6575
La4 0.1095 0.3905 0.3140
La5 0.1170 0.8447 0.3215
La6 0.1553 0.1170 0.3215
La7 0.2492 0.4901 0.6575
La8 0.2490 0.7490 0.9801
La9 0.2510 0.2490 0.9801
La10 0.2508 0.9901 0.6575
La11 0.3447 0.6170 0.3215
La12 0.3830 0.3447 0.3215
La13 0.3905 0.8905 0.3140
La14 0.4901 0.7508 0.6575
La15 0.5000 0.0000 0.9738
La16 0.5000 0.5000 0.0000
La17 0.5099 0.2492 0.6575
La18 0.6095 0.1095 0.3140
La19 0.6170 0.6553 0.3215
La20 0.6553 0.3830 0.3215
La21 0.7492 0.0099 0.6575
La22 0.7490 0.7510 0.9801
La23 0.7510 0.2510 0.9801
La24 0.7508 0.5099 0.6575
La25 0.8447 0.8830 0.3215
La26 0.8830 0.1553 0.3215
La27 0.8905 0.6095 0.3140
La28 0.9901 0.7492 0.6575
Sb1 0.0000 0.0000 0.6119
Sb2 0.0000 0.5000 0.6103
Sb3 0.0016 0.2494 0.0148
Sb4 0.2406 0.7406 0.6254
Sb5 0.2494 0.9984 0.0148
Sb6 0.2506 0.4984 0.0148
Sb7 0.2594 0.2406 0.6254
Sb8 0.4984 0.7494 0.0148
Sb9 0.5000 0.0000 0.6103
Sb10 0.5000 0.5000 0.6119
Sb11 0.5016 0.2506 0.0148
Sb12 0.7406 0.7594 0.6254
Sb13 0.7494 0.5016 0.0148
Sb14 0.7506 0.0016 0.0148
Sb15 0.7594 0.2594 0.6254
Sb16 0.9984 0.7506 0.0148
C1 0.0000 0.0000 0.2522
C2 0.5000 0.5000 0.2522
O1 0.0000 0.5000 0.2105
O2 0.0284 0.2398 0.4109
O3 0.2367 0.2633 0.2257
O4 0.2398 0.9716 0.4109
O5 0.2602 0.4716 0.4109
O6 0.2633 0.7633 0.2257
O7 0.4716 0.7398 0.4109
O8 0.5000 0.0000 0.2105
O9 0.5284 0.2602 0.4109
O10 0.7367 0.2367 0.2257
O11 0.7398 0.5284 0.4109
O12 0.7602 0.0284 0.4109
O13 0.7633 0.7367 0.2257
O14 0.9716 0.7602 0.4109

Main lines, by intensity (2θ = 10–90°):
2θ = 28.5°, intensity 100.0
2θ = 33.1°, intensity 61.4
2θ = 38.4°, intensity 42.0
2θ = 48.5°, intensity 35.4
2θ = 26.9°, intensity 31.8
2θ = 63.5°, intensity 22.2
2θ = 56.3°, intensity 17.7
2θ = 39.6°, intensity 13.4
2θ = 55.4°, intensity 12.1
2θ = 66.0°, intensity 11.6



# 5
Calculated powder diffraction line list
Compound: La7Os4C9
Radiation: copper Kα
Structure: the PBE geometry in the Materials Project
Lines closer than 0.1° are merged.

Lattice parameters (Å, degrees): 6.6002 6.6002 12.0008 108.93 108.93 48.57
Element x y z (fractional)
La1 0.0000 0.0000 0.0000
La2 0.1370 0.1370 0.6174
La3 0.1469 0.1469 0.3208
La4 0.3735 0.3735 0.1571
La5 0.6265 0.6265 0.8429
La6 0.8531 0.8531 0.6792
La7 0.8630 0.8630 0.3826
Os1 0.3576 0.3576 0.8588
Os2 0.4338 0.4338 0.5712
Os3 0.5662 0.5662 0.4288
Os4 0.6424 0.6424 0.1412
C1 0.0780 0.0780 0.8202
C2 0.1960 0.1960 0.8554
C3 0.3846 0.3846 0.7093
C4 0.3920 0.3920 0.3875
C5 0.5000 0.5000 0.0000
C6 0.6080 0.6080 0.6125
C7 0.6154 0.6154 0.2907
C8 0.8040 0.8040 0.1446
C9 0.9220 0.9220 0.1798

Main lines, by intensity (2θ = 10–90°):
2θ = 32.3°, intensity 100.0
2θ = 31.8°, intensity 72.9
2θ = 33.0°, intensity 55.2
2θ = 27.7°, intensity 31.2
2θ = 46.5°, intensity 22.8
2θ = 58.5°, intensity 17.2
2θ = 34.3°, intensity 15.5
2θ = 57.6°, intensity 14.8
2θ = 18.1°, intensity 13.5
2θ = 31.9°, intensity 12.6



# 6
Calculated powder diffraction line list
Compound: La20Os12C13
Radiation: copper Kα
Structure: the PBE geometry in the Materials Project
Lines closer than 0.1° are merged.

Lattice parameters (Å, degrees): 6.8059 15.9683 9.1809 90.00 90.07 90.00
Element x y z (fractional)
La1 0.0000 0.1659 0.0000
La2 0.0000 0.3327 0.5000
La3 0.0000 0.6673 0.5000
La4 0.0000 0.8341 0.0000
La5 0.2495 0.3742 0.1252
La6 0.2491 0.5000 0.7477
La7 0.2495 0.6258 0.1252
La8 0.2649 0.1190 0.6195
La9 0.2649 0.8810 0.6195
La10 0.2659 0.0000 0.2608
La11 0.5000 0.1664 0.0000
La12 0.5000 0.3335 0.5000
La13 0.5000 0.6665 0.5000
La14 0.5000 0.8336 0.0000
La15 0.7341 0.0000 0.7392
La16 0.7351 0.1190 0.3805
La17 0.7351 0.8810 0.3805
La18 0.7505 0.3742 0.8748
La19 0.7509 0.5000 0.2523
La20 0.7505 0.6258 0.8748
Os1 0.2490 0.0000 0.9040
Os2 0.2494 0.2027 0.2980
Os3 0.2494 0.7973 0.2980
Os4 0.2496 0.2996 0.7996
Os5 0.2496 0.5000 0.4015
Os6 0.2496 0.7004 0.7996
Os7 0.7504 0.2996 0.2004
Os8 0.7504 0.5000 0.5985
Os9 0.7504 0.7004 0.2004
Os10 0.7510 0.0000 0.0960
Os11 0.7506 0.2027 0.7020
Os12 0.7506 0.7973 0.7020
C1 0.0000 0.0000 0.0000
C2 0.0000 0.5000 0.5000
C3 0.0007 0.2503 0.7509
C4 0.0007 0.7497 0.7509
C5 0.4983 0.2501 0.7500
C6 0.4983 0.7499 0.7500
C7 0.5000 0.0000 0.0000
C8 0.5000 0.0000 0.5000
C9 0.5000 0.5000 0.5000
C10 0.5017 0.2501 0.2500
C11 0.5017 0.7499 0.2500
C12 0.9993 0.2503 0.2491
C13 0.9993 0.7497 0.2491

Main lines, by intensity (2θ = 10–90°):
2θ = 32.5°, intensity 100.0
2θ = 32.7°, intensity 84.7
2θ = 50.3°, intensity 29.3
2θ = 33.8°, intensity 28.2
2θ = 26.2°, intensity 26.5
2θ = 43.1°, intensity 20.2
2θ = 29.6°, intensity 20.1
2θ = 32.6°, intensity 19.5
2θ = 11.1°, intensity 19.1
2θ = 64.6°, intensity 15.3



# 7
Calculated powder diffraction line list
Compound: LaPd3C
Radiation: copper Kα
Structure: the PBE geometry in the Materials Project
Lines closer than 0.1° are merged.

Lattice parameters (Å, degrees): 4.3849 4.3849 4.3849 90.00 90.00 90.00
Element x y z (fractional)
La1 0.0000 0.0000 0.0000
Pd1 0.0000 0.5000 0.5000
Pd2 0.5000 0.0000 0.5000
Pd3 0.5000 0.5000 0.0000
C1 0.5000 0.5000 0.5000

Main lines, by intensity (2θ = 10–90°):
2θ = 35.5°, intensity 100.0
2θ = 41.2°, intensity 53.9
2θ = 71.3°, intensity 38.2
2θ = 59.6°, intensity 35.3
2θ = 75.0°, intensity 11.8
2θ = 89.4°, intensity 5.8
2θ = 28.8°, intensity 2.0
2θ = 51.0°, intensity 0.7



# 8
Calculated powder diffraction line list
Compound: LaPrC4
Radiation: copper Kα
Structure: the PBE geometry in the Materials Project
Lines closer than 0.1° are merged.

Lattice parameters (Å, degrees): 3.9154 3.9154 6.5537 90.00 90.00 90.00
Element x y z (fractional)
La1 0.0000 0.0000 0.0000
Pr1 0.5000 0.5000 0.5000
C1 0.0000 0.0000 0.4009
C2 0.0000 0.0000 0.5991
C3 0.5000 0.5000 0.0991
C4 0.5000 0.5000 0.9009

Main lines, by intensity (2θ = 10–90°):
2θ = 26.5°, intensity 100.0
2θ = 32.3°, intensity 54.1
2θ = 42.8°, intensity 40.7
2θ = 27.2°, intensity 35.1
2θ = 54.2°, intensity 30.1
2θ = 47.7°, intensity 29.4
2θ = 54.6°, intensity 19.6
2θ = 68.7°, intensity 19.3
2θ = 46.4°, intensity 18.9
2θ = 83.5°, intensity 11.5



# 9
Calculated powder diffraction line list
Compound: LaPt3C
Radiation: copper Kα
Structure: the PBE geometry in the Materials Project
Lines closer than 0.1° are merged.

Lattice parameters (Å, degrees): 4.4068 4.4068 4.4068 90.00 90.00 90.00
Element x y z (fractional)
La1 0.0000 0.0000 0.0000
Pt1 0.0000 0.5000 0.5000
Pt2 0.5000 0.0000 0.5000
Pt3 0.5000 0.5000 0.0000
C1 0.5000 0.5000 0.5000

Main lines, by intensity (2θ = 10–90°):
2θ = 35.3°, intensity 100.0
2θ = 41.0°, intensity 52.8
2θ = 70.9°, intensity 40.4
2θ = 59.3°, intensity 35.8
2θ = 74.6°, intensity 12.2
2θ = 88.8°, intensity 6.1
2θ = 20.2°, intensity 2.7
2θ = 46.1°, intensity 1.2
2θ = 28.6°, intensity 0.9
2θ = 63.3°, intensity 0.6